Cu3Ag5: simulated powder X-ray diffraction pattern (Cu Kα), based on a DFT-relaxed cell (GGA-PBE, OQMD).
Lines closer than 0.1° are merged.

Structural model:
a = 18.903 Å, b = 2.828 Å, c = 4.707 Å
α = 90.00°, β = 95.54°, γ = 90.00°
Space group C2/m (No. 12)
One atom of each set of equivalent atoms:
Cu 0.000 0.000 0.000 (multiplicity 2)
Cu 0.108 0.500 0.164 (multiplicity 4)
Ag 0.000 0.500 0.500 (multiplicity 2)
Ag 0.131 0.000 0.685 (multiplicity 4)
Ag 0.230 0.000 0.241 (multiplicity 4)

Peak list (10 most intense, 2θ = 10–90°, in order of rising 2θ)
2theta  d [Å]  I/Imax  (hkl)
34.80  2.578  17.4  3 1 0
35.97  2.497  19.4  6 0 1
38.27  2.352  40.9  8 0 0
38.71  2.326  51.2  2 0 -2
40.61  2.222  100.0  3 1 1
41.26  2.188  16.1  8 0 -1
43.43  2.084  73.7  5 1 -1
50.86  1.795  16.3  6 0 2
63.57  1.464  13.3  11 1 0
69.34  1.355  12.7  1 1 3